This entry pairs a crystal structure of Ho7Mg2Rh2 with its calculated powder XRD pattern. Radiation: λ = 1.5418 Å (Cu Kα). Structure: a DFT-relaxed cell (PBE, Alexandria).
Neutral-atom scattering factors, no anomalous dispersion.

Structure:
```
data_Ho7Mg2Rh2
_chemical_formula_sum 'Ho14 Mg4 Rh4'
_cell_length_a 8.059
_cell_length_b 10.923
_cell_length_c 7.172
_cell_angle_alpha 90.00
_cell_angle_beta 90.00
_cell_angle_gamma 90.00
_symmetry_space_group_name_H-M 'C m m m'
_symmetry_Int_Tables_number 65
_symmetry_space_group_name_Hall '-C 2 2'
loop_
_atom_site_label
_atom_site_type_symbol
_atom_site_fract_x
_atom_site_fract_y
_atom_site_fract_z
Ho1 Ho 0.000 0.000 0.000
Ho2 Ho 0.000 0.500 0.241
Ho3 Ho 0.250 0.250 0.248
Mg1 Mg 0.173 0.000 0.500
Rh1 Rh 0.000 0.286 0.000
```

Peak list (12 most intense, 2θ = 10–80°, sorted by position)
2θ (°)	d_spacing	Rel. int.	(hkl)
12.3	7.172	42	0 0 1
25.4	3.513	23	2 0 1
27.5	3.242	89	2 2 0
28.4	3.138	41	1 1 2
32.8	2.731	59	0 4 0
33.5	2.679	29	2 0 2
36.9	2.435	40	1 3 2
37.4	2.405	100	2 2 2
45.0	2.015	25	4 0 0
56.8	1.622	26	4 4 0
58.9	1.569	21	2 2 4
61.9	1.499	21	0 4 4